This entry pairs a crystal structure of NdZn5Pt2Au with its computed powder X-ray diffraction pattern. Radiation: CuKα. Structure: a cell relaxed with GGA-PBE.

Peak list (10 most intense, 2θ from 15° to 90°, in order of rising 2θ)
2theta	I_rel	index
25.8	55	1 1 0
30.2	77	1 0 2
35.5	29	1 1 2
36.9	100	2 0 0
40.8	32	1 0 3
48.4	43	2 1 2
52.6	31	2 0 3
53.1	35	2 2 0
56.2	30	2 1 3
74.7	19	2 0 5

Atomic structure:
Unit cell a=4.876 b=4.876 c=7.442 alpha=90.00 beta=90.00 gamma=90.00
Space group P4/mmm (No. 123)
Unique sites:
Nd 0.000 0.000 0.000 (multiplicity 1)
Zn 0.000 0.500 0.305 (multiplicity 4)
Zn 0.500 0.500 0.000 (multiplicity 1)
Pt 0.500 0.500 0.319 (multiplicity 2)
Au 0.000 0.000 0.500 (multiplicity 1)



This entry pairs a crystal structure of Na3Re with its computed powder X-ray diffraction pattern. Radiation: CuKα. Structure: a cell relaxed with GGA-PBE.

Peak list (10 most intense, 2θ from 15° to 90°, in order of rising 2θ)
2theta	I_rel	index
15.5	46	1 0 0
22.5	100	1 0 1
27.0	45	1 1 0
31.3	20	2 0 0
32.8	24	0 0 2
35.4	87	2 0 1
43.0	27	1 1 2
45.1	38	2 1 1
60.3	18	2 0 3
66.1	18	2 2 2

Atomic structure:
Unit cell a=6.6062 b=6.6062 c=5.4554 alpha=90.00 beta=90.00 gamma=120.00
Space group P6_3/mmc (No. 194)
Unique sites:
Na 0.1757 0.3513 0.2500 (multiplicity 6)
Re 0.3333 0.6667 0.7500 (multiplicity 2)



This entry pairs a crystal structure of Sb3Pt5 with its computed powder X-ray diffraction pattern. Radiation: CuKα. Structure: a cell relaxed with GGA-PBE.

Peak list (10 most intense, 2θ from 15° to 90°, in order of rising 2θ)
2theta	I_rel	index
24.1	28	1 1 -2
26.5	42	2 0 -1
32.8	42	2 2 -2
37.2	50	0 0 3
38.3	52	2 4 -1
40.1	46	1 3 -3
41.1	100	1 5 1
41.7	41	1 5 -2
44.3	29	3 1 0
45.8	29	3 1 -3

Atomic structure:
Unit cell a=6.737 b=13.116 c=7.876 alpha=90.00 beta=112.89 gamma=90.00
Space group Cm (No. 8)
Unique sites:
Sb 0.000 0.000 0.000 (multiplicity 2)
Sb 0.153 0.500 0.335 (multiplicity 2)
Sb 0.376 0.179 0.689 (multiplicity 4)
Sb 0.431 0.293 0.274 (multiplicity 4)
Pt 0.083 0.500 0.656 (multiplicity 2)
Pt 0.135 0.398 0.020 (multiplicity 4)
Pt 0.197 0.193 0.951 (multiplicity 4)
Pt 0.248 0.000 0.809 (multiplicity 2)
Pt 0.296 0.108 0.318 (multiplicity 4)
Pt 0.421 0.373 0.587 (multiplicity 4)



This entry pairs a crystal structure of NpScRuPt with its computed powder X-ray diffraction pattern. Radiation: CuKα. Structure: a cell relaxed with GGA-PBE.

Peak list (9 most intense, 2θ from 15° to 90°, in order of rising 2θ)
2theta	I_rel	index
23.0	30	1 1 1
38.0	100	2 2 0
44.9	17	3 1 1
54.9	17	4 0 0
60.3	7	3 3 1
68.7	35	4 2 2
73.5	6	5 1 1
81.3	11	4 4 0
85.9	6	5 3 1

Atomic structure:
Unit cell a=6.693 b=6.693 c=6.693 alpha=90.00 beta=90.00 gamma=90.00
Space group F-43m (No. 216)
Unique sites:
Np 0.000 0.000 0.000 (multiplicity 4)
Sc 0.000 0.000 0.500 (multiplicity 4)
Ru 0.250 0.250 0.250 (multiplicity 4)
Pt 0.250 0.250 0.750 (multiplicity 4)



This entry pairs a crystal structure of MgBe with its computed powder X-ray diffraction pattern. Radiation: CuKα. Structure: a cell relaxed with GGA-PBE.

Peak list (10 most intense, 2θ from 15° to 90°, in order of rising 2θ)
2theta	I_rel	index
27.2	36	1 1 1
31.4	100	1 1 2
32.6	87	0 1 3
37.6	76	1 1 3
38.1	88	2 0 1
40.7	47	1 2 0
40.9	47	1 0 4
41.8	75	1 2 1
45.0	42	1 1 4
45.4	58	2 1 2

Atomic structure:
Unit cell a=4.860 b=4.980 c=9.893 alpha=90.00 beta=90.00 gamma=90.00
Space group P2_12_12_1 (No. 19)
Unique sites:
Mg 0.129 0.145 0.180 (multiplicity 4)
Mg 0.138 0.591 0.980 (multiplicity 4)
Be 0.113 0.355 0.726 (multiplicity 4)
Be 0.139 0.098 0.899 (multiplicity 4)



This entry pairs a crystal structure of Ca3GeAs4 with its computed powder X-ray diffraction pattern. Radiation: CuKα. Structure: a cell relaxed with GGA-PBE.

Peak list (10 most intense, 2θ from 15° to 90°, in order of rising 2θ)
2theta	I_rel	index
16.6	45	1 1 1
22.4	51	1 2 1
30.0	56	1 0 3
33.9	56	1 3 2
34.1	66	2 3 0
34.3	85	3 0 1
34.8	100	0 4 0
35.4	66	2 3 1
39.8	77	2 2 3
43.0	60	1 2 4

Atomic structure:
Unit cell a=8.164 b=10.320 c=9.600 alpha=90.00 beta=90.00 gamma=90.00
Space group Pnma (No. 62)
Unique sites:
Ca 0.045 0.054 0.188 (multiplicity 8)
Ca 0.156 0.750 0.411 (multiplicity 4)
Ge 0.235 0.250 0.456 (multiplicity 4)
As 0.025 0.750 0.112 (multiplicity 4)
As 0.138 0.037 0.545 (multiplicity 8)
As 0.190 0.750 0.714 (multiplicity 4)



This entry pairs a crystal structure of Mo2Ru3Pt3 with its computed powder X-ray diffraction pattern. Radiation: CuKα. Structure: a cell relaxed with GGA-PBE.

Peak list (10 most intense, 2θ from 15° to 90°, in order of rising 2θ)
2theta	I_rel	index
40.0	100	1 1 2
45.6	17	0 2 0
46.6	16	2 0 0
47.4	15	0 0 4
67.3	11	2 2 0
67.9	10	0 2 4
80.6	13	1 3 2
82.0	13	3 1 2
83.1	12	1 1 6
86.4	11	2 2 4

Atomic structure:
Unit cell a=3.897 b=3.976 c=7.672 alpha=90.00 beta=90.00 gamma=90.00
Space group Pmmm (No. 47)
Unique sites:
Mo 0.000 0.000 0.244 (multiplicity 2)
Ru 0.000 0.500 0.000 (multiplicity 1)
Ru 0.500 0.000 0.000 (multiplicity 1)
Ru 0.500 0.000 0.500 (multiplicity 1)
Pt 0.000 0.500 0.500 (multiplicity 1)
Pt 0.500 0.500 0.246 (multiplicity 2)



This entry pairs a crystal structure of Tb3NiSn2 with its computed powder X-ray diffraction pattern. Radiation: CuKα. Structure: a cell relaxed with GGA-PBE.

Peak list (10 most intense, 2θ from 15° to 90°, in order of rising 2θ)
2theta	I_rel	index
26.9	34	3 0 2
29.4	55	2 1 2
30.6	100	0 1 3
31.1	33	3 1 1
31.6	27	1 1 3
33.4	33	4 0 2
33.9	61	3 1 2
36.9	55	4 1 1
39.9	31	2 1 4
41.2	61	0 2 0

Atomic structure:
Unit cell a=12.081 b=4.387 c=11.712 alpha=90.00 beta=90.00 gamma=90.00
Space group Pnma (No. 62)
Unique sites:
Tb 0.055 0.250 0.128 (multiplicity 4)
Tb 0.121 0.750 0.553 (multiplicity 4)
Tb 0.231 0.250 0.796 (multiplicity 4)
Ni 0.127 0.250 0.366 (multiplicity 4)
Sn 0.009 0.750 0.311 (multiplicity 4)
Sn 0.192 0.750 0.997 (multiplicity 4)



Number 6 is which compound?
Ca3GeAs4



Number 1 is which compound?
NdZn5Pt2Au